Pm3Al8Pd3: theoretical PXRD pattern (Cu Kα (weighted mean of Kα1 and Kα2)), based on a PBE-relaxed structure.
Lines closer than 0.1° are merged.

Most intense lines, 10 to 80 degrees two-theta, by angle:
- 19.53°, I 470
- 28.36°, I 1000
- 28.76°, I 438
- 33.77°, I 482
- 34.53°, I 479
- 34.81°, I 409
- 35.04°, I 347
- 35.26°, I 360
- 35.73°, I 855
- 40.02°, I 619

Structural model:
a = 8.278 Å, b = 8.278 Å, c = 9.090 Å
α = 122.65°, β = 122.65°, γ = 31.59°
Sites, in units of the cell vectors:
1 Pm 0.000 0.000 0.000
2 Pm 0.287 0.287 0.301
3 Pm 0.713 0.713 0.699
4 Al 0.133 0.133 0.422
5 Al 0.149 0.149 0.862
6 Al 0.349 0.349 0.719
7 Al 0.494 0.494 0.325
8 Al 0.506 0.506 0.675
9 Al 0.651 0.651 0.281
10 Al 0.851 0.851 0.138
11 Al 0.867 0.867 0.578
12 Pd 0.000 0.000 0.500
13 Pd 0.347 0.347 0.998
14 Pd 0.653 0.653 0.002